The following is a calculated XRD peak list of Al13Ni16. It was derived from DFT lattice parameters and positions (GGA-PBE), using CuKα.
Intensities are scaled so that the largest is 1000.

The 10 most intense peaks (10° ≤ 2θ ≤ 90°), most intense first:
Position (°2θ), d (Å), I (rel.)
42.96, 2.105, 1000
47.76, 1.904, 467
52.22, 1.752, 267
24.41, 3.647, 221
75.22, 1.263, 192
78.72, 1.216, 165
40.39, 2.233, 154
37.68, 2.387, 123
50.02, 1.823, 112
34.79, 2.579, 105

Structure:
Cell: 8.932 8.932 8.932 Å, 90.00 90.00 90.00°
Space group I-43m (No. 217)
Unique sites:
Al1 0.000 0.000 0.000 (multiplicity 2)
Al2 0.060 0.358 0.642 (multiplicity 24)
Ni1 0.094 0.094 0.709 (multiplicity 24)
Ni2 0.173 0.173 0.173 (multiplicity 8)